Calculated powder diffractogram
Compound: HoScZn2
Radiation: λ = 1.5418 Å (Cu Kα)
Structure: a cell relaxed with PBE
Lines closer than 0.1° are merged.

Main lines, in order of rising 2θ (2θ from 10° to 90°):
22.2°, 4.013 Å, I = 26, hkl 1 1 1; 25.6°, 3.475 Å, I = 4, hkl 2 0 0; 36.6°, 2.457 Å, I = 100, hkl 2 2 0; 43.2°, 2.096 Å, I = 15, hkl 3 1 1; 52.7°, 1.738 Å, I = 17, hkl 4 0 0; 57.8°, 1.595 Å, I = 6, hkl 3 3 1; 59.5°, 1.554 Å, I = 2, hkl 4 2 0; 65.8°, 1.419 Å, I = 34, hkl 4 2 2; 70.4°, 1.338 Å, I = 5, hkl 5 1 1; 77.7°, 1.229 Å, I = 10, hkl 4 4 0; 82.0°, 1.175 Å, I = 5, hkl 5 3 1; 89.1°, 1.099 Å, I = 15, hkl 6 2 0

```
data_HoScZn2
_space_group_name_H-M_alt 'F m -3 m'
_space_group_IT_number 225
_space_group_name_Hall '-F 4 2 3'
_cell_length_a 6.951
_cell_length_b 6.951
_cell_length_c 6.951
_cell_angle_alpha 90.00
_cell_angle_beta 90.00
_cell_angle_gamma 90.00
loop_
_atom_site_label
_atom_site_type_symbol
_atom_site_fract_x
_atom_site_fract_y
_atom_site_fract_z
_atom_site_occupancy
Ho1 Ho 0.000 0.000 0.000 1
Sc1 Sc 0.000 0.000 0.500 1
Zn1 Zn 0.250 0.250 0.250 1
```

Calculated powder diffractogram
Compound: Ho2Se3
Radiation: λ = 1.5418 Å (Cu Kα)
Structure: a cell relaxed with PBE
Lines closer than 0.1° are merged.

Main lines, in order of rising 2θ (2θ from 10° to 90°):
25.2°, 3.538 Å, I = 28, hkl 1 1 6; 32.7°, 2.741 Å, I = 100, hkl 3 1 0; 38.9°, 2.316 Å, I = 61, hkl 2 1 9; 46.9°, 1.939 Å, I = 16, hkl 4 0 6; 46.9°, 1.935 Å, I = 7, hkl 2 0 12; 49.3°, 1.848 Å, I = 16, hkl 3 2 9; 51.7°, 1.769 Å, I = 10, hkl 4 2 6; 53.9°, 1.700 Å, I = 21, hkl 3 1 12; 66.5°, 1.407 Å, I = 19, hkl 6 1 3; 66.6°, 1.404 Å, I = 10, hkl 1 1 18; 70.4°, 1.338 Å, I = 8, hkl 5 1 12; 81.6°, 1.180 Å, I = 12, hkl 7 2 3

```
data_Ho2Se3
_space_group_name_H-M_alt 'I -4 2 d'
_space_group_IT_number 122
_space_group_name_Hall 'I -4 2bw'
_cell_length_a 8.674
_cell_length_b 8.674
_cell_length_c 25.954
_cell_angle_alpha 90.00
_cell_angle_beta 90.00
_cell_angle_gamma 90.00
loop_
_atom_site_label
_atom_site_type_symbol
_atom_site_fract_x
_atom_site_fract_y
_atom_site_fract_z
_atom_site_occupancy
Ho1 Ho 0.000 0.000 0.168 1
Ho2 Ho 0.117 0.250 0.625 1
Ho3 Ho 0.134 0.241 0.290 1
Se1 Se 0.065 0.180 0.065 1
Se2 Se 0.069 0.184 0.395 1
Se3 Se 0.079 0.176 0.732 1
```

Calculated powder diffractogram
Compound: HoSe
Radiation: λ = 1.5418 Å (Cu Kα)
Structure: a cell relaxed with PBE
Lines closer than 0.1° are merged.

Main lines, in order of rising 2θ (2θ from 10° to 90°):
26.9°, 3.311 Å, I = 22, hkl 1 1 1; 31.2°, 2.867 Å, I = 100, hkl 2 0 0; 44.7°, 2.028 Å, I = 74, hkl 2 2 0; 53.0°, 1.729 Å, I = 11, hkl 3 1 1; 55.5°, 1.656 Å, I = 26, hkl 2 2 2; 65.1°, 1.434 Å, I = 12, hkl 4 0 0; 71.7°, 1.316 Å, I = 4, hkl 3 3 1; 73.9°, 1.282 Å, I = 33, hkl 4 2 0; 82.4°, 1.171 Å, I = 25, hkl 4 2 2; 88.6°, 1.104 Å, I = 4, hkl 5 1 1

```
data_HoSe
_space_group_name_H-M_alt 'F m -3 m'
_space_group_IT_number 225
_space_group_name_Hall '-F 4 2 3'
_cell_length_a 5.735
_cell_length_b 5.735
_cell_length_c 5.735
_cell_angle_alpha 90.00
_cell_angle_beta 90.00
_cell_angle_gamma 90.00
loop_
_atom_site_label
_atom_site_type_symbol
_atom_site_fract_x
_atom_site_fract_y
_atom_site_fract_z
_atom_site_occupancy
Ho1 Ho 0.000 0.000 0.000 1
Se1 Se 0.000 0.000 0.500 1
```

Calculated powder diffractogram
Compound: Ho2Se3
Radiation: λ = 1.5418 Å (Cu Kα)
Structure: a cell relaxed with PBE
Lines closer than 0.1° are merged.

Main lines, in order of rising 2θ (2θ from 10° to 90°):
13.7°, 6.453 Å, I = 48, hkl 1 1 1; 22.5°, 3.948 Å, I = 16, hkl 1 1 5; 30.9°, 2.894 Å, I = 100, hkl 2 0 6; 31.1°, 2.878 Å, I = 50, hkl 0 4 0; 44.1°, 2.055 Å, I = 19, hkl 4 0 0; 44.4°, 2.040 Å, I = 91, hkl 2 4 6; 54.9°, 1.673 Å, I = 21, hkl 4 4 0; 55.2°, 1.663 Å, I = 19, hkl 0 4 12; 73.2°, 1.293 Å, I = 16, hkl 4 4 12; 73.5°, 1.289 Å, I = 16, hkl 2 8 6; 81.3°, 1.184 Å, I = 12, hkl 6 4 6; 81.8°, 1.177 Å, I = 12, hkl 2 4 18

```
data_Ho2Se3
_space_group_name_H-M_alt 'F d d d'
_space_group_IT_number 70
_cell_length_a 8.222
_cell_length_b 11.513
_cell_length_c 24.451
_cell_angle_alpha 90.00
_cell_angle_beta 90.00
_cell_angle_gamma 90.00
loop_
_space_group_symop_operation_xyz
'x,y,z'
'-x,-y,-z'
'-x+1/4,-y+1/4,z'
'x+1/4,y+1/4,-z'
'x,-y+1/4,-z+1/4'
'-x,y+1/4,z+1/4'
'-x+1/4,y,-z+1/4'
'x+1/4,-y,z+1/4'
'x,y+1/2,z+1/2'
'-x,-y+1/2,-z+1/2'
'-x+1/4,-y+3/4,z+1/2'
'x+1/4,y+3/4,-z+1/2'
'x,-y+3/4,-z+3/4'
'-x,y+3/4,z+3/4'
'-x+1/4,y+1/2,-z+3/4'
'x+1/4,-y+1/2,z+3/4'
'x+1/2,y,z+1/2'
'-x+1/2,-y,-z+1/2'
'-x+3/4,-y+1/4,z+1/2'
'x+3/4,y+1/4,-z+1/2'
'x+1/2,-y+1/4,-z+3/4'
'-x+1/2,y+1/4,z+3/4'
'-x+3/4,y,-z+3/4'
'x+3/4,-y,z+3/4'
'x+1/2,y+1/2,z'
'-x+1/2,-y+1/2,-z'
'-x+3/4,-y+3/4,z'
'x+3/4,y+3/4,-z'
'x+1/2,-y+3/4,-z+1/4'
'-x+1/2,y+3/4,z+1/4'
'-x+3/4,y+1/2,-z+1/4'
'x+3/4,-y+1/2,z+1/4'
loop_
_atom_site_label
_atom_site_type_symbol
_atom_site_fract_x
_atom_site_fract_y
_atom_site_fract_z
_atom_site_occupancy
Ho1 Ho 0.125 0.125 0.041 1
Ho2 Ho 0.125 0.125 0.378 1
Se1 Se 0.117 0.372 0.206 1
Se2 Se 0.117 0.375 0.375 1
```

Calculated powder diffractogram
Compound: HoTlSe2
Radiation: λ = 1.5418 Å (Cu Kα)
Structure: a cell relaxed with PBE
Lines closer than 0.1° are merged.

Main lines, in order of rising 2θ (2θ from 10° to 90°):
22.9°, 3.880 Å, I = 12, hkl 0 0 6; 25.8°, 3.456 Å, I = 21, hkl 0 1 2; 29.1°, 3.074 Å, I = 100, hkl 1 0 4; 39.7°, 2.268 Å, I = 38, hkl 0 1 8; 43.3°, 2.090 Å, I = 36, hkl 1 1 0; 46.4°, 1.958 Å, I = 8, hkl 1 0 10; 49.5°, 1.840 Å, I = 10, hkl 1 1 6; 53.0°, 1.728 Å, I = 19, hkl 0 2 4; 60.2°, 1.537 Å, I = 11, hkl 2 0 8; 65.7°, 1.422 Å, I = 14, hkl 1 1 12; 70.7°, 1.332 Å, I = 16, hkl 2 1 4; 77.0°, 1.238 Å, I = 11, hkl 1 2 8

```
data_HoTlSe2
_space_group_name_H-M_alt 'R -3 m'
_space_group_IT_number 166
_space_group_name_Hall '-R 3 2"'
_cell_length_a 4.1794
_cell_length_b 4.1794
_cell_length_c 23.2795
_cell_angle_alpha 90.00
_cell_angle_beta 90.00
_cell_angle_gamma 120.00
loop_
_atom_site_label
_atom_site_type_symbol
_atom_site_fract_x
_atom_site_fract_y
_atom_site_fract_z
_atom_site_occupancy
Ho1 Ho 0.0000 0.0000 0.0000 1
Tl1 Tl 0.0000 0.0000 0.5000 1
Se1 Se 0.0000 0.0000 0.2656 1
```

Calculated powder diffractogram
Compound: HoSi2
Radiation: λ = 1.5418 Å (Cu Kα)
Structure: a cell relaxed with PBE
Lines closer than 0.1° are merged.

Main lines, in order of rising 2θ (2θ from 10° to 90°):
23.3°, 3.816 Å, I = 44, hkl 1 0 1; 24.2°, 3.676 Å, I = 30, hkl 0 0 4; 29.0°, 3.076 Å, I = 55, hkl 1 0 3; 34.3°, 2.611 Å, I = 100, hkl 1 1 2; 38.2°, 2.359 Å, I = 45, hkl 1 0 5; 45.9°, 1.975 Å, I = 29, hkl 2 0 0; 49.1°, 1.855 Å, I = 22, hkl 1 0 7; 52.6°, 1.740 Å, I = 15, hkl 2 0 4; 55.3°, 1.662 Å, I = 18, hkl 2 1 3; 61.2°, 1.514 Å, I = 23, hkl 2 1 5; 69.5°, 1.352 Å, I = 16, hkl 2 1 7; 77.5°, 1.232 Å, I = 19, hkl 3 1 2

```
data_HoSi2
_space_group_name_H-M_alt 'I 41/a m d'
_space_group_IT_number 141
_cell_length_a 3.951
_cell_length_b 3.951
_cell_length_c 14.702
_cell_angle_alpha 90.00
_cell_angle_beta 90.00
_cell_angle_gamma 90.00
loop_
_space_group_symop_operation_xyz
'x,y,z'
'-x,-y,-z'
'-y+1/4,x+3/4,z+1/4'
'y+1/4,-x+3/4,-z+1/4'
'-x+1/2,-y,z+1/2'
'x+1/2,y,-z+1/2'
'y+1/4,-x+1/4,z+3/4'
'-y+1/4,x+1/4,-z+3/4'
'x,-y,-z'
'-x,y,z'
'-y+1/4,-x+1/4,-z+3/4'
'y+1/4,x+1/4,z+3/4'
'-x+1/2,y,-z+1/2'
'x+1/2,-y,z+1/2'
'y+1/4,x+3/4,-z+1/4'
'-y+1/4,-x+3/4,z+1/4'
'x+1/2,y+1/2,z+1/2'
'-x+1/2,-y+1/2,-z+1/2'
'-y+3/4,x+1/4,z+3/4'
'y+3/4,-x+1/4,-z+3/4'
'-x,-y+1/2,z'
'x,y+1/2,-z'
'y+3/4,-x+3/4,z+1/4'
'-y+3/4,x+3/4,-z+1/4'
'x+1/2,-y+1/2,-z+1/2'
'-x+1/2,y+1/2,z+1/2'
'-y+3/4,-x+3/4,-z+1/4'
'y+3/4,x+3/4,z+1/4'
'-x,y+1/2,-z'
'x,-y+1/2,z'
'y+3/4,x+1/4,-z+3/4'
'-y+3/4,-x+1/4,z+3/4'
loop_
_atom_site_label
_atom_site_type_symbol
_atom_site_fract_x
_atom_site_fract_y
_atom_site_fract_z
_atom_site_occupancy
Ho1 Ho 0.000 0.250 0.375 1
Si1 Si 0.000 0.250 0.793 1
```

Calculated powder diffractogram
Compound: HoSi3
Radiation: λ = 1.5418 Å (Cu Kα)
Structure: a cell relaxed with PBE
Lines closer than 0.1° are merged.

Main lines, in order of rising 2θ (2θ from 10° to 90°):
14.8°, 5.986 Å, I = 28, hkl 1 0 1; 16.5°, 5.383 Å, I = 48, hkl 0 0 2; 24.7°, 3.601 Å, I = 84, hkl 2 0 0; 27.8°, 3.212 Å, I = 29, hkl 1 0 3; 29.9°, 2.993 Å, I = 100, hkl 2 0 2; 35.2°, 2.546 Å, I = 63, hkl 2 2 0; 37.5°, 2.397 Å, I = 76, hkl 2 1 3; 37.8°, 2.380 Å, I = 64, hkl 1 1 4; 38.4°, 2.343 Å, I = 38, hkl 3 0 1; 39.1°, 2.302 Å, I = 59, hkl 2 2 2; 60.0°, 1.543 Å, I = 34, hkl 4 2 2; 66.3°, 1.410 Å, I = 42, hkl 3 1 6

```
data_HoSi3
_space_group_name_H-M_alt 'I 4/m m m'
_space_group_IT_number 139
_space_group_name_Hall '-I 4 2'
_cell_length_a 7.202
_cell_length_b 7.202
_cell_length_c 10.767
_cell_angle_alpha 90.00
_cell_angle_beta 90.00
_cell_angle_gamma 90.00
loop_
_atom_site_label
_atom_site_type_symbol
_atom_site_fract_x
_atom_site_fract_y
_atom_site_fract_z
_atom_site_occupancy
Ho1 Ho 0.000 0.000 0.170 1
Ho2 Ho 0.000 0.500 0.250 1
Si1 Si 0.000 0.328 0.000 1
Si2 Si 0.186 0.186 0.386 1
```

Calculated powder diffractogram
Compound: Ho3Si4
Radiation: λ = 1.5418 Å (Cu Kα)
Structure: a cell relaxed with PBE
Lines closer than 0.1° are merged.

Main lines, in order of rising 2θ (2θ from 10° to 90°):
21.8°, 4.074 Å, I = 54, hkl 3 1 0; 27.3°, 3.270 Å, I = 56, hkl 12 0 -1; 27.5°, 3.249 Å, I = 58, hkl 12 0 1; 29.5°, 3.025 Å, I = 45, hkl 24 0 0; 33.6°, 2.670 Å, I = 85, hkl 9 1 -1; 33.7°, 2.662 Å, I = 80, hkl 9 1 1; 33.8°, 2.652 Å, I = 100, hkl 21 1 0; 43.8°, 2.067 Å, I = 37, hkl 0 2 0; 47.0°, 1.934 Å, I = 30, hkl 0 0 2; 52.4°, 1.747 Å, I = 31, hkl 12 2 -1; 52.9°, 1.731 Å, I = 24, hkl 33 1 1; 74.0°, 1.282 Å, I = 24, hkl 9 3 -1

```
data_Ho3Si4
_space_group_name_H-M_alt 'C 1 m 1'
_space_group_IT_number 8
_space_group_name_Hall 'C -2y'
_cell_length_a 72.590
_cell_length_b 4.133
_cell_length_c 3.869
_cell_angle_alpha 90.00
_cell_angle_beta 90.40
_cell_angle_gamma 90.00
loop_
_atom_site_label
_atom_site_type_symbol
_atom_site_fract_x
_atom_site_fract_y
_atom_site_fract_z
_atom_site_occupancy
Ho1 Ho 0.000 0.000 0.000 1
Ho2 Ho 0.032 0.500 0.499 1
Ho3 Ho 0.077 0.500 0.999 1
Ho4 Ho 0.123 0.500 0.500 1
Ho5 Ho 0.168 0.500 0.001 1
Ho6 Ho 0.199 0.000 0.500 1
Ho7 Ho 0.243 0.000 0.016 1
Ho8 Ho 0.290 0.000 0.496 1
Ho9 Ho 0.334 0.000 0.000 1
Ho10 Ho 0.366 0.500 0.500 1
Ho11 Ho 0.410 0.500 0.015 1
Ho12 Ho 0.457 0.500 0.496 1
Si1 Si 0.040 0.000 0.999 1
Si2 Si 0.060 0.000 0.501 1
Si3 Si 0.091 0.000 0.499 1
Si4 Si 0.108 0.000 0.001 1
Si5 Si 0.140 0.000 0.998 1
Si6 Si 0.160 0.000 0.500 1
Si7 Si 0.209 0.500 0.001 1
Si8 Si 0.229 0.500 0.508 1
Si9 Si 0.261 0.500 0.553 1
Si10 Si 0.303 0.500 0.997 1
Si11 Si 0.324 0.500 0.500 1
Si12 Si 0.375 0.000 0.000 1
Si13 Si 0.396 0.000 0.508 1
Si14 Si 0.428 0.000 0.554 1
Si15 Si 0.470 0.000 0.997 1
Si16 Si 0.490 0.000 0.500 1
```

Calculated powder diffractogram
Compound: HoSi
Radiation: λ = 1.5418 Å (Cu Kα)
Structure: a cell relaxed with PBE
Lines closer than 0.1° are merged.

Main lines, in order of rising 2θ (2θ from 10° to 90°):
22.5°, 3.947 Å, I = 39, hkl 1 1 0; 28.9°, 3.087 Å, I = 65, hkl 0 2 1; 32.6°, 2.745 Å, I = 100, hkl 1 1 1; 33.2°, 2.702 Å, I = 53, hkl 1 3 0; 34.2°, 2.622 Å, I = 30, hkl 0 4 0; 40.9°, 2.206 Å, I = 31, hkl 1 3 1; 42.4°, 2.130 Å, I = 23, hkl 2 0 0; 47.6°, 1.910 Å, I = 16, hkl 0 0 2; 52.2°, 1.753 Å, I = 26, hkl 2 2 1; 54.4°, 1.688 Å, I = 23, hkl 1 5 1; 55.6°, 1.653 Å, I = 15, hkl 2 4 0; 59.3°, 1.559 Å, I = 20, hkl 1 3 2

```
data_HoSi
_space_group_name_H-M_alt 'C m c m'
_space_group_IT_number 63
_space_group_name_Hall '-C 2c 2'
_cell_length_a 4.261
_cell_length_b 10.486
_cell_length_c 3.819
_cell_angle_alpha 90.00
_cell_angle_beta 90.00
_cell_angle_gamma 90.00
loop_
_atom_site_label
_atom_site_type_symbol
_atom_site_fract_x
_atom_site_fract_y
_atom_site_fract_z
_atom_site_occupancy
Ho1 Ho 0.000 0.140 0.250 1
Si1 Si 0.000 0.423 0.250 1
```

Calculated powder diffractogram
Compound: HoSi2
Radiation: λ = 1.5418 Å (Cu Kα)
Structure: a cell relaxed with PBE
Lines closer than 0.1° are merged.

Main lines, in order of rising 2θ (2θ from 10° to 90°):
22.7°, 3.918 Å, I = 13, hkl 0 0 1; 25.2°, 3.537 Å, I = 53, hkl 1 0 0; 34.2°, 2.625 Å, I = 100, hkl 1 0 1; 44.4°, 2.042 Å, I = 32, hkl 1 1 0; 46.3°, 1.959 Å, I = 9, hkl 0 0 2; 50.4°, 1.811 Å, I = 11, hkl 1 1 1; 51.7°, 1.769 Å, I = 8, hkl 2 0 0; 53.5°, 1.714 Å, I = 14, hkl 1 0 2; 57.1°, 1.612 Å, I = 23, hkl 2 0 1; 66.1°, 1.414 Å, I = 19, hkl 1 1 2; 75.1°, 1.265 Å, I = 20, hkl 2 1 1; 78.0°, 1.225 Å, I = 9, hkl 1 0 3

```
data_HoSi2
_space_group_name_H-M_alt 'P 6/m m m'
_space_group_IT_number 191
_space_group_name_Hall '-P 6 2'
_cell_length_a 4.0843
_cell_length_b 4.0843
_cell_length_c 3.9179
_cell_angle_alpha 90.00
_cell_angle_beta 90.00
_cell_angle_gamma 120.00
loop_
_atom_site_label
_atom_site_type_symbol
_atom_site_fract_x
_atom_site_fract_y
_atom_site_fract_z
_atom_site_occupancy
Ho1 Ho 0.0000 0.0000 0.0000 1
Si1 Si 0.3333 0.6667 0.5000 1
```